The following is a simulated PXRD pattern of Dy2Ge2O7. It was derived from the PBE geometry in Alexandria, using Cu Kα, 1.54184 Å.
Kinematic intensities with the Lorentz-polarization factor, no thermal factor.

Structural model:
Cell: 5.3719 8.1364 7.6360 Å, 90.00 108.75 90.00°
Space group P2_1/m (No. 11)
Unique sites:
Dy: 0.0000 0.0000 0.0000 x2
Dy: 0.5000 0.0000 0.5000 x2
Ge: 0.0324 0.2500 0.6118 x2
Ge: 0.4022 0.7500 0.8280 x2
O: 0.0391 0.5661 0.2944 x4
O: 0.1674 0.7500 0.9429 x2
O: 0.2717 0.7500 0.5773 x2
O: 0.3231 0.2500 0.5553 x2
O: 0.4147 0.0700 0.1663 x4

Top 6 peaks for 10 to 90 degrees two-theta, low angle first:
d 3.645, I = 26, hkl 1 0 1
d 3.615, I = 27, hkl 0 0 2
d 3.151, I = 100, hkl 1 2 -1
d 2.715, I = 28, hkl 1 2 1
d 2.702, I = 26, hkl 0 2 2
d 2.544, I = 25, hkl 2 0 0